Simulated PXRD pattern
Compound: BaSeI
Radiation: Cu Kα (λ = 1.5418 Å)
Structure: a DFT-relaxed cell (PBE, Alexandria)
Kinematic intensities with the Lorentz-polarization factor, no thermal factor.

```
BaSeI
1.0
4.930 -2.315 0.000
4.930 2.315 0.000
-0.105 0.000 12.260
Ba Se I
2 2 2
Cartesian
0.442 0.000 2.171
9.313 0.000 10.089
3.720 0.000 0.135
6.035 0.000 12.124
2.490 0.000 8.295
7.265 0.000 3.965
```

Most intense lines, 5° ≤ 2θ ≤ 70°, by angle:
2θ = 7.21°, I 83.4; 2θ = 19.35°, I 45.5; 2θ = 25.79°, I 100.0; 2θ = 28.25°, I 37.9; 2θ = 30.50°, I 23.3; 2θ = 30.61°, I 41.6; 2θ = 34.20°, I 54.9; 2θ = 36.25°, I 29.6; 2θ = 38.90°, I 26.5; 2θ = 39.53°, I 23.5


Simulated PXRD pattern
Compound: Ba6Se3I2
Radiation: Cu Kα (λ = 1.5418 Å)
Structure: a DFT-relaxed cell (PBE, Alexandria)
Kinematic intensities with the Lorentz-polarization factor, no thermal factor.

```
Ba6Se3I2
1.0
4.156 -7.182 0.000
4.156 7.182 0.000
-2.774 0.000 7.954
Ba Se I
6 3 2
Cartesian
-0.056 2.305 6.158
1.281 0.000 1.775
-0.056 -2.305 6.158
5.594 2.305 1.796
4.257 0.000 6.179
5.594 -2.305 1.796
4.156 4.709 0.000
4.156 0.000 0.000
4.156 -4.709 0.000
2.769 2.381 3.977
2.769 -2.381 3.977
```

Most intense lines, 5° ≤ 2θ ≤ 70°, by angle:
2θ = 22.68°, I 7.4; 2θ = 26.15°, I 100.0; 2θ = 37.12°, I 36.2; 2θ = 37.53°, I 38.6; 2θ = 45.63°, I 6.3; 2θ = 46.31°, I 20.3; 2θ = 53.81°, I 11.9; 2θ = 60.50°, I 14.7; 2θ = 61.04°, I 11.6; 2θ = 67.45°, I 11.8


Simulated PXRD pattern
Compound: Ba9Se2I14
Radiation: Cu Kα (λ = 1.5418 Å)
Structure: a DFT-relaxed cell (PBE, Alexandria)
Kinematic intensities with the Lorentz-polarization factor, no thermal factor.

```
Ba9Se2I14
1.0
10.134 0.000 0.000
-5.067 8.776 0.000
0.000 0.000 14.048
Ba Se I
9 2 14
Cartesian
0.000 0.000 0.000
-1.130 3.148 4.791
-1.775 8.181 4.791
0.000 5.851 0.564
2.162 2.553 9.256
2.905 6.223 4.791
5.067 2.925 13.484
6.842 0.596 9.256
6.197 5.628 9.256
0.000 5.851 3.692
5.067 2.925 10.356
0.000 0.000 3.602
0.000 0.000 10.446
-3.084 5.953 12.738
-1.223 3.421 8.366
-1.493 8.125 8.366
1.454 3.129 12.738
3.437 0.305 1.310
2.351 2.770 5.682
2.716 6.006 8.366
1.630 8.471 12.738
3.613 5.647 1.310
6.559 0.651 5.682
6.290 5.355 5.682
8.151 2.824 1.310
```

Most intense lines, 5° ≤ 2θ ≤ 70°, by angle:
2θ = 18.62°, I 53.6; 2θ = 18.95°, I 23.4; 2θ = 21.63°, I 23.9; 2θ = 26.88°, I 20.0; 2θ = 27.63°, I 44.6; 2θ = 30.56°, I 83.7; 2θ = 30.98°, I 100.0; 2θ = 33.10°, I 15.5; 2θ = 44.07°, I 22.4; 2θ = 55.38°, I 22.3


Simulated PXRD pattern
Compound: Ba2SrSe2I2
Radiation: Cu Kα (λ = 1.5418 Å)
Structure: a DFT-relaxed cell (PBE, Alexandria)
Kinematic intensities with the Lorentz-polarization factor, no thermal factor.

```
Ba2SrSe2I2
1.0
-2.898 2.898 8.778
2.898 -2.898 8.778
2.898 2.898 -8.778
Ba Sr Se I
2 1 2 2
Cartesian
0.000 0.000 1.964
0.000 0.000 15.592
0.000 0.000 8.778
2.898 0.000 0.000
0.000 2.898 0.000
0.000 0.000 5.427
0.000 0.000 12.129
```

Most intense lines, 5° ≤ 2θ ≤ 70°, by angle:
2θ = 21.68°, I 51.5; 2θ = 23.96°, I 19.0; 2θ = 29.77°, I 100.0; 2θ = 30.85°, I 63.1; 2θ = 43.39°, I 55.3; 2θ = 44.20°, I 23.1; 2θ = 49.74°, I 11.0; 2θ = 54.20°, I 22.0; 2θ = 61.78°, I 12.4; 2θ = 63.66°, I 17.6


Simulated PXRD pattern
Compound: Ba2TlSe2I2
Radiation: Cu Kα (λ = 1.5418 Å)
Structure: a DFT-relaxed cell (PBE, Alexandria)
Kinematic intensities with the Lorentz-polarization factor, no thermal factor.

```
Ba2TlSe2I2
1.0
-2.788 2.788 8.992
2.788 -2.788 8.992
2.788 2.788 -8.992
Ba Tl Se I
2 1 2 2
Cartesian
0.000 0.000 2.071
0.000 0.000 15.913
0.000 0.000 8.992
2.788 0.000 0.000
0.000 2.788 0.000
0.000 0.000 5.576
0.000 0.000 12.408
```

Most intense lines, 5° ≤ 2θ ≤ 70°, by angle:
2θ = 9.84°, I 29.6; 2θ = 22.55°, I 66.5; 2θ = 29.56°, I 100.0; 2θ = 32.11°, I 68.0; 2θ = 44.20°, I 66.2; 2θ = 46.04°, I 24.7; 2θ = 51.86°, I 14.1; 2θ = 55.67°, I 16.7; 2θ = 61.35°, I 14.1; 2θ = 65.73°, I 20.4


Simulated PXRD pattern
Compound: Ba3SiI
Radiation: Cu Kα (λ = 1.5418 Å)
Structure: a DFT-relaxed cell (PBE, Alexandria)
Kinematic intensities with the Lorentz-polarization factor, no thermal factor.

```
Ba3SiI
1.0
4.985 0.000 0.000
0.000 8.337 0.000
0.000 0.000 11.107
Ba Si I
6 2 2
Cartesian
1.246 0.060 1.609
1.246 2.084 6.649
1.246 4.108 1.609
3.739 4.228 9.498
3.739 6.252 4.459
3.739 8.277 9.498
1.246 2.084 9.913
3.739 6.252 1.194
1.246 6.252 7.363
3.739 2.084 3.745
```

Most intense lines, 5° ≤ 2θ ≤ 70°, by angle:
2θ = 22.79°, I 50.0; 2θ = 23.99°, I 100.0; 2θ = 29.06°, I 94.8; 2θ = 32.24°, I 21.2; 2θ = 32.34°, I 32.5; 2θ = 36.04°, I 24.0; 2θ = 37.15°, I 20.6; 2θ = 43.07°, I 20.2; 2θ = 49.16°, I 31.9; 2θ = 50.21°, I 26.2